# 1
# CaHoF6
Theoretical powder diffraction line list, λ = 1.5418 Å (Cu Kα). Input: a PBE-relaxed structure.

Structural model:
```
data_CaHoF6
_cell_length_a 5.436
_cell_length_b 5.436
_cell_length_c 7.914
_cell_angle_alpha 90.00
_cell_angle_beta 90.00
_cell_angle_gamma 90.00
_symmetry_space_group_name_H-M 'P 42/m'
_symmetry_Int_Tables_number 84
_symmetry_space_group_name_Hall '-P 4c'
loop_
_atom_site_label
_atom_site_fract_x
_atom_site_fract_y
_atom_site_fract_z
Ca1 0.000 0.000 0.000
Ho1 0.500 0.500 0.250
F1 0.214 0.239 0.177
F2 0.320 0.332 0.500
```

Top 8 peaks for 2θ from 5° to 70°, by angle:
| two_theta | I/Imax | h k l |
| --- | --- | --- |
| 16.3 | 75 | 1 0 0 |
| 23.1 | 100 | 1 1 0 |
| 27.9 | 86 | 1 0 2 |
| 32.5 | 23 | 1 1 2 |
| 43.7 | 78 | 2 1 2 |
| 47.3 | 25 | 2 2 0 |
| 52.0 | 21 | 1 1 4 |
| 55.8 | 25 | 3 0 2 |

# 2
# NpN2F4
Theoretical powder diffraction line list, λ = 1.5418 Å (Cu Kα). Input: a PBE-relaxed structure.

Structural model:
```
data_NpN2F4
_cell_length_a 3.860
_cell_length_b 3.861
_cell_length_c 8.690
_cell_angle_alpha 93.59
_cell_angle_beta 93.19
_cell_angle_gamma 90.22
_symmetry_space_group_name_H-M 'P -1'
_symmetry_Int_Tables_number 2
_symmetry_space_group_name_Hall '-P 1'
loop_
_atom_site_label
_atom_site_fract_x
_atom_site_fract_y
_atom_site_fract_z
Np1 0.000 0.000 0.000
N1 0.403 0.403 0.516
F1 0.023 0.524 0.141
F2 0.480 0.971 0.859
```

Top 8 peaks for 2θ from 5° to 70°, by angle:
| two_theta | I/Imax | h k l |
| --- | --- | --- |
| 10.2 | 100 | 0 0 1 |
| 20.5 | 20 | 0 0 2 |
| 23.1 | 22 | 1 0 0 |
| 24.7 | 28 | 0 1 -1 |
| 25.9 | 26 | 1 0 1 |
| 30.1 | 6 | 0 1 -2 |
| 47.2 | 8 | 2 0 0 |
| 47.7 | 6 | 0 2 -1 |

# 3
# Ba11C2N10
Theoretical powder diffraction line list, λ = 1.5418 Å (Cu Kα). Input: a PBE-relaxed structure.

Structural model:
```
data_Ba11C2N10
_cell_length_a 16.487
_cell_length_b 16.487
_cell_length_c 4.151
_cell_angle_alpha 90.00
_cell_angle_beta 90.00
_cell_angle_gamma 90.00
_symmetry_space_group_name_H-M 'P 42/m n m'
_symmetry_Int_Tables_number 136
_symmetry_space_group_name_Hall '-P 4n 2n'
loop_
_atom_site_label
_atom_site_fract_x
_atom_site_fract_y
_atom_site_fract_z
Ba1 0.000 0.000 0.000
Ba2 0.019 0.207 0.500
Ba3 0.117 0.618 0.500
Ba4 0.175 0.825 0.000
C1 0.178 0.178 0.000
N1 0.036 0.688 0.000
N2 0.096 0.904 0.500
N3 0.125 0.125 0.000
N4 0.231 0.231 0.000
```

Top 8 peaks for 2θ from 5° to 70°, by angle:
| two_theta | I/Imax | h k l |
| --- | --- | --- |
| 26.4 | 56 | 2 2 1 |
| 27.6 | 72 | 5 1 0 |
| 29.1 | 100 | 3 2 1 |
| 30.7 | 39 | 4 4 0 |
| 31.5 | 23 | 3 3 1 |
| 43.6 | 20 | 0 0 2 |
| 44.6 | 39 | 7 1 1 |
| 52.4 | 25 | 5 1 2 |

# 4
# KPdCl
Theoretical powder diffraction line list, λ = 1.5418 Å (Cu Kα). Input: a PBE-relaxed structure.

Structural model:
```
data_KPdCl
_cell_length_a 4.737
_cell_length_b 4.454
_cell_length_c 8.492
_cell_angle_alpha 90.00
_cell_angle_beta 103.76
_cell_angle_gamma 90.00
_symmetry_space_group_name_H-M 'P 1 m 1'
_symmetry_Int_Tables_number 6
_symmetry_space_group_name_Hall 'P -2y'
loop_
_atom_site_label
_atom_site_fract_x
_atom_site_fract_y
_atom_site_fract_z
K1 0.000 0.000 0.000
K2 0.308 0.000 0.551
Pd1 0.177 0.500 0.261
Pd2 0.754 0.500 0.431
Cl1 0.618 0.500 0.151
Cl2 0.901 0.500 0.717
```

Top 8 peaks for 2θ from 5° to 70°, by angle:
| two_theta | I/Imax | h k l |
| --- | --- | --- |
| 10.7 | 100 | 0 0 1 |
| 19.9 | 43 | 0 1 0 |
| 22.7 | 49 | 0 1 1 |
| 29.5 | 22 | 0 1 2 |
| 31.6 | 21 | 1 1 1 |
| 32.4 | 25 | 1 1 -2 |
| 38.0 | 24 | 2 0 -1 |
| 42.1 | 24 | 1 0 3 |